The following is a theoretical XRD peak list of Re3S4Br3. It was derived from a structure optimized by DFT (PBE), using Cu Kα X-rays.
No peak broadening, texture or thermal motion is included.

Peak list (12 most intense, 2θ from 10° to 90°, by angle)
h k l	d (Å)	I (rel.)
1 0 1	8.408	1000
0 1 1	7.967	760
0 1 -1	7.249	673
1 1 0	7.153	578
1 0 -1	6.683	387
1 -1 0	6.337	369
0 0 2	6.100	289
1 1 2	5.353	178
0 4 2	2.328	124
2 4 1	2.310	113
4 -2 0	2.006	136
0 4 -3	1.996	152

```
data_Re3S4Br3
_chemical_formula_sum 'Re12 S16 Br12'
_cell_length_a 9.678
_cell_length_b 9.833
_cell_length_c 12.655
_cell_angle_alpha 82.56
_cell_angle_beta 75.61
_cell_angle_gamma 81.49
_space_group_name_H-M_alt 'P -1'
_space_group_IT_number 2
loop_
_space_group_symop_operation_xyz
'x,y,z'
'-x,-y,-z'
loop_
_atom_site_label
_atom_site_fract_x
_atom_site_fract_y
_atom_site_fract_z
Re1 0.001 0.485 0.154
Re2 0.095 0.657 0.981
Re3 0.173 0.389 0.977
Re4 0.295 0.036 0.557
Re5 0.464 0.928 0.383
Re6 0.495 0.175 0.425
S1 0.060 0.241 0.138
S2 0.084 0.273 0.856
S3 0.245 0.527 0.096
S4 0.249 0.553 0.825
S5 0.280 0.126 0.376
S6 0.288 0.804 0.522
S7 0.345 0.252 0.599
S8 0.357 0.937 0.729
Br1 0.002 0.465 0.352
Br2 0.030 0.083 0.631
Br3 0.210 0.871 0.971
Br4 0.385 0.824 0.240
Br5 0.397 0.221 0.974
Br6 0.468 0.418 0.337
```